1.
Starting from the PBE geometry in Alexandria, the X-ray powder pattern of TmRhO3 was computed for a wavelength of 1.5418 Å.
No peak broadening, texture or thermal motion is included.

Crystal structure
Cell lengths 5.7594, 7.6009, 5.2289 Å; angles 90.00, 90.00, 90.00 degrees
Atoms (fractional coordinates):
1 Tm 0.0865 0.2500 0.0327
2 Tm 0.4135 0.7500 0.5327
3 Tm 0.5865 0.2500 0.4673
4 Tm 0.9135 0.7500 0.9673
5 Rh 0.0000 0.0000 0.5000
6 Rh 0.0000 0.5000 0.5000
7 Rh 0.5000 0.0000 0.0000
8 Rh 0.5000 0.5000 0.0000
9 O 0.0584 0.7500 0.3568
10 O 0.1885 0.5669 0.8249
11 O 0.1885 0.9331 0.8249
12 O 0.3115 0.0669 0.3249
13 O 0.3115 0.4331 0.3249
14 O 0.4416 0.2500 0.8568
15 O 0.5584 0.7500 0.1432
16 O 0.6885 0.5669 0.6751
17 O 0.6885 0.9331 0.6751
18 O 0.8115 0.0669 0.1751
19 O 0.8115 0.4331 0.1751
20 O 0.9416 0.2500 0.6432

Peak list (12 most intense, 2θ = 5–70°, by angle)
- 25.83 deg, d 3.450, I 24
- 31.06 deg, d 2.880, I 16
- 33.03 deg, d 2.712, I 100
- 33.27 deg, d 2.693, I 15
- 34.30 deg, d 2.614, I 23
- 42.65 deg, d 2.120, I 9
- 46.94 deg, d 1.936, I 12
- 47.85 deg, d 1.901, I 22
- 48.53 deg, d 1.876, I 13
- 52.16 deg, d 1.754, I 15
- 60.19 deg, d 1.537, I 16
- 60.62 deg, d 1.528, I 19

=====

2.
Starting from the PBE geometry in Alexandria, the X-ray powder pattern of Sm7Sb4Te4 was computed for a wavelength of 1.5418 Å.
No peak broadening, texture or thermal motion is included.

Crystal structure
Cell lengths 11.7049, 11.7049, 11.7049 Å; angles 96.97, 96.97, 139.24 degrees
Atoms (fractional coordinates):
1 Sm 0.0000 0.2810 0.2810
2 Sm 0.0000 0.7190 0.7190
3 Sm 0.1385 0.5000 0.6385
4 Sm 0.2413 0.2413 0.0000
5 Sm 0.2810 0.0000 0.2810
6 Sm 0.2935 0.2935 0.5870
7 Sm 0.2935 0.7065 0.0000
8 Sm 0.5000 0.1385 0.6385
9 Sm 0.5000 0.8615 0.3615
10 Sm 0.7065 0.2935 0.0000
11 Sm 0.7065 0.7065 0.4130
12 Sm 0.7190 0.0000 0.7190
13 Sm 0.7587 0.7587 0.0000
14 Sm 0.8615 0.5000 0.3615
15 Sb 0.1019 0.6019 0.2039
16 Sb 0.1019 0.8981 0.5000
17 Sb 0.3981 0.6019 0.5000
18 Sb 0.3981 0.8981 0.7961
19 Sb 0.6019 0.1019 0.2039
20 Sb 0.6019 0.3981 0.5000
21 Sb 0.8981 0.1019 0.5000
22 Sb 0.8981 0.3981 0.7961
23 Te 0.1218 0.1218 0.2436
24 Te 0.1218 0.8782 0.0000
25 Te 0.3355 0.5000 0.8355
26 Te 0.5000 0.3355 0.8355
27 Te 0.5000 0.6645 0.1645
28 Te 0.6645 0.5000 0.1645
29 Te 0.8782 0.1218 0.0000
30 Te 0.8782 0.8782 0.7564

Peak list (12 most intense, 2θ = 5–70°, by angle)
- 18.08 deg, d 4.907, I 17
- 21.80 deg, d 4.076, I 22
- 27.26 deg, d 3.272, I 15
- 28.47 deg, d 3.136, I 51
- 30.83 deg, d 2.900, I 100
- 31.85 deg, d 2.810, I 13
- 32.90 deg, d 2.722, I 28
- 33.93 deg, d 2.642, I 51
- 34.69 deg, d 2.586, I 27
- 36.89 deg, d 2.437, I 13
- 44.31 deg, d 2.044, I 36
- 44.46 deg, d 2.038, I 41

=====

3.
Starting from the PBE geometry in Alexandria, the X-ray powder pattern of KRb6Au was computed for a wavelength of 1.5418 Å.
No peak broadening, texture or thermal motion is included.

Crystal structure
Cell lengths 9.4695, 9.5170, 9.7238 Å; angles 61.13, 61.65, 60.36 degrees
Atoms (fractional coordinates):
1 K 0.0000 0.0000 0.0000
2 Rb 0.0881 0.6803 0.7278
3 Rb 0.3176 0.4930 0.2698
4 Rb 0.4950 0.9140 0.2707
5 Rb 0.5050 0.0860 0.7293
6 Rb 0.6824 0.5070 0.7302
7 Rb 0.9119 0.3197 0.2722
8 Au 0.5000 0.5000 0.5000

Peak list (12 most intense, 2θ = 5–70°, by angle)
- 10.93 deg, d 8.095, I 41
- 11.31 deg, d 7.824, I 100
- 11.42 deg, d 7.750, I 48
- 12.95 deg, d 6.838, I 37
- 18.10 deg, d 4.902, I 61
- 18.27 deg, d 4.856, I 31
- 21.58 deg, d 4.118, I 89
- 21.90 deg, d 4.059, I 60
- 22.73 deg, d 3.912, I 49
- 28.84 deg, d 3.096, I 79
- 29.01 deg, d 3.078, I 49
- 42.22 deg, d 2.140, I 34

=====

4.
Starting from the PBE geometry in Alexandria, the X-ray powder pattern of Sc2Se3O10 was computed for a wavelength of 1.5418 Å.
No peak broadening, texture or thermal motion is included.

Crystal structure
Cell lengths 6.6176, 11.0560, 12.9265 Å; angles 90.00, 103.07, 90.00 degrees
Atoms (fractional coordinates):
1 Sc 0.1972 0.1581 0.4075
2 Sc 0.1972 0.3419 0.9075
3 Sc 0.2649 0.7062 0.5357
4 Sc 0.2649 0.7938 0.0357
5 Sc 0.7351 0.2062 0.9643
6 Sc 0.7351 0.2938 0.4643
7 Sc 0.8028 0.6581 0.0925
8 Sc 0.8028 0.8419 0.5925
9 Se 0.1363 0.6498 0.7797
10 Se 0.1363 0.8502 0.2797
11 Se 0.2878 0.1054 0.0439
12 Se 0.2878 0.3946 0.5439
13 Se 0.3192 0.5289 0.1479
14 Se 0.3192 0.9711 0.6479
15 Se 0.6808 0.0289 0.3521
16 Se 0.6808 0.4711 0.8521
17 Se 0.7122 0.6054 0.4561
18 Se 0.7122 0.8946 0.9561
19 Se 0.8637 0.1498 0.7203
20 Se 0.8637 0.3502 0.2203
21 O 0.0695 0.1955 0.9997
22 O 0.0695 0.3045 0.4997
23 O 0.0785 0.5120 0.8164
24 O 0.0785 0.9880 0.3164
25 O 0.0829 0.2249 0.7695
26 O 0.0829 0.2751 0.2695
27 O 0.1285 0.6343 0.0878
28 O 0.1285 0.8657 0.5878
29 O 0.2344 0.5274 0.4773
30 O 0.2344 0.9726 0.9773
31 O 0.2747 0.7262 0.8829
32 O 0.2747 0.7738 0.3829
33 O 0.2874 0.6338 0.6921
34 O 0.2874 0.8662 0.1921
35 O 0.3072 0.0727 0.5486
36 O 0.3072 0.4273 0.0486
37 O 0.4148 0.1844 0.9596
38 O 0.4148 0.3156 0.4596
39 O 0.4815 0.1261 0.3628
40 O 0.4815 0.3739 0.8628
41 O 0.5185 0.6261 0.1372
42 O 0.5185 0.8739 0.6372
43 O 0.5852 0.6844 0.5404
44 O 0.5852 0.8156 0.0404
45 O 0.6928 0.5727 0.9514
46 O 0.6928 0.9273 0.4514
47 O 0.7126 0.1338 0.8079
48 O 0.7126 0.3662 0.3079
49 O 0.7253 0.2262 0.6171
50 O 0.7253 0.2738 0.1171
51 O 0.7656 0.0274 0.0227
52 O 0.7656 0.4726 0.5227
53 O 0.8715 0.1343 0.4122
54 O 0.8715 0.3657 0.9122
55 O 0.9171 0.7249 0.7305
56 O 0.9171 0.7751 0.2305
57 O 0.9215 0.0120 0.6836
58 O 0.9215 0.4880 0.1836
59 O 0.9305 0.6955 0.5003
60 O 0.9305 0.8045 0.0003

Peak list (12 most intense, 2θ = 5–70°, by angle)
- 21.31 deg, d 4.169, I 35
- 21.85 deg, d 4.068, I 26
- 22.66 deg, d 3.924, I 100
- 23.30 deg, d 3.817, I 21
- 23.69 deg, d 3.756, I 32
- 26.67 deg, d 3.343, I 56
- 27.69 deg, d 3.222, I 48
- 28.11 deg, d 3.174, I 51
- 29.57 deg, d 3.021, I 54
- 31.23 deg, d 2.864, I 18
- 32.78 deg, d 2.732, I 31
- 50.02 deg, d 1.824, I 18